Structure and calculated powder XRD pattern of Rb5Te2Se5 (a structure optimized by DFT (PBE); Cu Kα (λ = 1.5418 Å)).

Cell and atoms:
```
Rb5Te2Se5
1.0
5.416 -2.674 0.000
5.416 2.674 0.000
-3.584 0.000 14.477
Rb Te Se
5 2 5
direct
0.000 0.000 0.000
0.188 0.188 0.567
0.282 0.282 0.842
0.718 0.718 0.158
0.812 0.812 0.433
0.462 0.462 0.291
0.538 0.538 0.709
0.054 0.054 0.298
0.380 0.380 0.104
0.500 0.500 0.500
0.620 0.620 0.896
0.946 0.946 0.702
```

Largest 10 diffraction maxima, by intensity, 2θ = 10–90°:
d/Å	Position (°2θ)	intensity
2.993	29.9	100
2.674	33.5	45
3.193	27.9	29
3.047	29.3	27
2.841	31.5	17
1.599	57.7	16
2.050	44.2	16
3.221	27.7	14
1.702	53.9	13
3.385	26.3	13

***

Structure and calculated powder XRD pattern of YOsN2Cl (a structure optimized by DFT (PBE); Cu Kα (λ = 1.5418 Å)).

Cell and atoms:
```
YOsN2Cl
1.0
4.270 0.000 0.000
0.000 4.270 0.000
0.000 0.000 4.216
Y Os N Cl
1 1 2 1
direct
0.000 0.000 0.000
0.500 0.500 0.000
0.000 0.500 0.500
0.500 0.000 0.500
0.500 0.500 0.500
```

Largest 10 diffraction maxima, by intensity, 2θ = 10–90°:
d/Å	Position (°2θ)	intensity
2.455	36.6	100
3.019	29.6	99
4.216	21.1	61
2.135	42.3	52
4.270	20.8	50
1.728	53.0	40
1.500	61.9	33
1.905	47.8	32
2.108	42.9	25
1.286	73.7	25

***

Structure and calculated powder XRD pattern of LiNp2TlTe4 (a structure optimized by DFT (PBE); Cu Kα (λ = 1.5418 Å)).

Cell and atoms:
```
LiNp2TlTe4
1.0
2.245 -7.429 0.000
2.245 7.429 0.000
0.000 0.000 15.771
Li Np Tl Te
2 4 2 8
direct
0.164 0.836 0.750
0.836 0.164 0.250
0.368 0.632 0.063
0.368 0.632 0.437
0.632 0.368 0.563
0.632 0.368 0.937
0.113 0.887 0.250
0.887 0.113 0.750
0.000 0.000 0.000
0.000 0.000 0.500
0.269 0.731 0.610
0.269 0.731 0.890
0.437 0.563 0.250
0.563 0.437 0.750
0.731 0.269 0.110
0.731 0.269 0.390
```

Largest 10 diffraction maxima, by intensity, 2θ = 10–90°:
d/Å	Position (°2θ)	intensity
2.242	40.2	100
3.255	27.4	71
3.065	29.1	66
4.292	20.7	62
2.543	35.3	43
3.483	25.6	32
3.327	26.8	25
2.364	38.1	23
1.586	58.2	21
2.289	39.4	21

***

Structure and calculated powder XRD pattern of SnH12C6S4N2 (a structure optimized by DFT (PBE); Cu Kα (λ = 1.5418 Å)).

Cell and atoms:
```
SnH12C6S4N2
1.0
4.657 -6.445 0.000
4.657 6.445 0.000
-4.552 0.000 12.074
Sn H C S N
2 24 12 8 4
direct
0.222 0.778 0.750
0.778 0.222 0.250
0.018 0.812 0.042
0.077 0.179 0.843
0.151 0.196 0.469
0.170 0.485 0.133
0.179 0.077 0.343
0.188 0.982 0.458
0.196 0.151 0.969
0.357 0.406 0.128
0.364 0.618 0.378
0.382 0.636 0.122
0.406 0.357 0.628
0.485 0.170 0.633
0.515 0.830 0.367
0.594 0.643 0.372
0.618 0.364 0.878
0.636 0.382 0.622
0.643 0.594 0.872
0.804 0.849 0.031
0.812 0.018 0.542
0.821 0.923 0.657
0.830 0.515 0.867
0.849 0.804 0.531
0.923 0.821 0.157
0.982 0.188 0.958
0.111 0.223 0.934
0.223 0.111 0.434
0.239 0.535 0.911
0.286 0.492 0.097
0.465 0.761 0.589
0.492 0.286 0.597
0.508 0.714 0.403
0.535 0.239 0.411
0.714 0.508 0.903
0.761 0.465 0.089
0.777 0.889 0.566
0.889 0.777 0.066
0.148 0.443 0.768
0.230 0.644 0.534
0.356 0.770 0.966
0.443 0.148 0.268
0.557 0.852 0.732
0.644 0.230 0.034
0.770 0.356 0.466
0.852 0.557 0.232
0.216 0.423 0.976
0.423 0.216 0.476
0.577 0.784 0.524
0.784 0.577 0.024
```

Largest 10 diffraction maxima, by intensity, 2θ = 10–90°:
d/Å	Position (°2θ)	intensity
5.526	16.0	100
7.194	12.3	88
3.850	23.1	63
6.445	13.7	58
3.610	24.7	29
2.589	34.6	26
2.209	40.9	23
3.775	23.6	22
4.406	20.2	20
2.504	35.9	17

***

Structure and calculated powder XRD pattern of NaDyCuCl5 (a structure optimized by DFT (PBE); Cu Kα (λ = 1.5418 Å)).

Cell and atoms:
```
NaDyCuCl5
1.0
4.132 -5.829 0.000
4.132 5.829 0.000
-3.826 0.000 8.959
Na Dy Cu Cl
2 2 2 10
direct
0.128 0.872 0.750
0.872 0.128 0.250
0.500 0.500 0.000
0.500 0.500 0.500
0.192 0.808 0.250
0.808 0.192 0.750
0.107 0.238 0.938
0.166 0.550 0.361
0.238 0.107 0.438
0.402 0.598 0.750
0.450 0.834 0.139
0.550 0.166 0.861
0.598 0.402 0.250
0.762 0.893 0.562
0.834 0.450 0.639
0.893 0.762 0.062
```

Largest 10 diffraction maxima, by intensity, 2θ = 10–90°:
d/Å	Position (°2θ)	intensity
4.409	20.1	100
6.366	13.9	94
3.552	25.1	82
3.800	23.4	44
3.460	25.7	39
2.093	43.2	33
2.122	42.6	33
2.637	34.0	32
5.829	15.2	29
2.055	44.1	27

***

Structure and calculated powder XRD pattern of CoRuS2 (a structure optimized by DFT (PBE); Cu Kα (λ = 1.5418 Å)).

Cell and atoms:
```
CoRuS2
1.0
3.717 0.000 0.000
0.000 3.717 0.000
0.000 0.000 5.484
Co Ru S
1 1 2
direct
0.000 0.000 0.000
0.500 0.500 0.000
0.000 0.500 0.766
0.500 0.000 0.234
```

Largest 10 diffraction maxima, by intensity, 2θ = 10–90°:
d/Å	Position (°2θ)	intensity
5.484	16.2	100
1.898	47.9	40
2.370	38.0	39
3.077	29.0	20
1.859	49.0	19
1.760	51.9	18
1.501	61.8	12
2.629	34.1	10
1.149	84.2	7
1.103	88.6	6

***

Structure and calculated powder XRD pattern of K2Li2NpS4 (a structure optimized by DFT (PBE); Cu Kα (λ = 1.5418 Å)).

Cell and atoms:
```
K2Li2NpS4
1.0
7.380 -2.040 0.000
7.380 2.040 0.000
-2.588 0.000 7.025
K Li Np S
2 2 1 4
direct
0.138 0.138 0.062
0.862 0.862 0.938
0.318 0.318 0.511
0.682 0.682 0.489
0.000 0.000 0.500
0.194 0.194 0.668
0.483 0.483 0.727
0.517 0.517 0.273
0.806 0.806 0.332
```

Largest 10 diffraction maxima, by intensity, 2θ = 10–90°:
d/Å	Position (°2θ)	intensity
2.751	32.5	100
6.925	12.8	89
7.025	12.6	79
6.097	14.5	60
3.914	22.7	54
3.571	24.9	37
3.073	29.1	32
4.251	20.9	30
3.689	24.1	30
2.595	34.6	29

***

Structure and calculated powder XRD pattern of LiAcTm2Se4 (a structure optimized by DFT (PBE); Cu Kα (λ = 1.5418 Å)).

Cell and atoms:
```
LiAcTm2Se4
1.0
2.052 -6.883 0.000
2.052 6.883 0.000
0.000 0.000 13.957
Li Ac Tm Se
2 2 4 8
direct
0.147 0.853 0.750
0.853 0.147 0.250
0.121 0.879 0.250
0.879 0.121 0.750
0.371 0.629 0.057
0.371 0.629 0.443
0.629 0.371 0.557
0.629 0.371 0.943
0.000 0.000 0.000
0.000 0.000 0.500
0.267 0.733 0.617
0.267 0.733 0.883
0.450 0.550 0.250
0.550 0.450 0.750
0.733 0.267 0.117
0.733 0.267 0.383
```

Largest 10 diffraction maxima, by intensity, 2θ = 10–90°:
d/Å	Position (°2θ)	intensity
2.801	31.9	100
3.855	23.1	96
2.988	29.9	91
2.059	44.0	67
2.276	39.6	61
2.052	44.1	52
2.173	41.6	36
3.112	28.7	28
1.453	64.1	27
3.426	26.0	25